Entry 1:
Calculated XRD peak list of RbHgC3S3N3 for λ = 1.5418 Å (Cu Kα), from a structure optimized by DFT (GGA-PBE).

```
data_RbHgC3S3N3
_chemical_formula_sum 'Rb2 Hg2 C6 S6 N6'
_space_group_name_H-M_alt 'P 1 21/m 1'
_space_group_IT_number 11
_space_group_name_Hall '-P 2yb'
_cell_length_a 11.198
_cell_length_b 4.151
_cell_length_c 11.503
_cell_angle_alpha 90.00
_cell_angle_beta 115.63
_cell_angle_gamma 90.00
loop_
_atom_site_label
_atom_site_fract_x
_atom_site_fract_y
_atom_site_fract_z
Rb1 0.219 0.250 0.095
Hg1 0.223 0.750 0.646
C1 0.026 0.750 0.776
C2 0.302 0.750 0.410
C3 0.463 0.250 0.860
S1 0.012 0.250 0.380
S2 0.303 0.250 0.825
S3 0.396 0.750 0.568
N1 0.052 0.750 0.887
N2 0.242 0.750 0.297
N3 0.423 0.750 0.113
```

Peak list (12 most intense, 2θ = 10–90°, by angle)
2theta	I/Imax
15.47	67
17.57	63
22.41	45
23.11	70
26.04	100
27.53	29
31.86	44
32.03	27
33.74	27
35.41	33
38.21	38
43.59	35

***

Entry 2:
Calculated XRD peak list of Nd3HgC for λ = 1.5418 Å (Cu Kα), from a structure optimized by DFT (GGA-PBE).

```
data_Nd3HgC
_chemical_formula_sum 'Nd12 Hg4 C4'
_space_group_name_H-M_alt 'P n m a'
_space_group_IT_number 62
_space_group_name_Hall '-P 2ac 2n'
_cell_length_a 8.996
_cell_length_b 3.764
_cell_length_c 15.422
_cell_angle_alpha 90.00
_cell_angle_beta 90.00
_cell_angle_gamma 90.00
loop_
_atom_site_label
_atom_site_fract_x
_atom_site_fract_y
_atom_site_fract_z
Nd1 0.026 0.250 0.098
Nd2 0.177 0.250 0.504
Nd3 0.215 0.750 0.303
Hg1 0.084 0.750 0.673
C1 0.155 0.250 0.946
```

Peak list (12 most intense, 2θ = 10–90°, by angle)
2theta	I/Imax
30.37	31
30.54	30
30.64	53
31.08	100
31.53	68
32.02	33
33.14	57
34.77	30
38.02	16
48.36	27
58.33	27
59.94	19

***

Entry 3:
Calculated XRD peak list of TmScHgC for λ = 1.5418 Å (Cu Kα), from a structure optimized by DFT (GGA-PBE).

```
data_TmScHgC
_chemical_formula_sum 'Tm2 Sc2 Hg2 C2'
_space_group_name_H-M_alt 'P -3 m 1'
_space_group_IT_number 164
_space_group_name_Hall '-P 3 2"'
_cell_length_a 3.4494
_cell_length_b 3.4494
_cell_length_c 15.3180
_cell_angle_alpha 90.00
_cell_angle_beta 90.00
_cell_angle_gamma 120.00
loop_
_atom_site_label
_atom_site_fract_x
_atom_site_fract_y
_atom_site_fract_z
Tm1 0.3333 0.6667 0.0880
Sc1 0.3333 0.6667 0.4216
Hg1 0.3333 0.6667 0.7400
C1 0.0000 0.0000 0.0000
C2 0.0000 0.0000 0.5000
```

Peak list (12 most intense, 2θ = 10–90°, by angle)
2theta	I/Imax
11.55	11
29.91	23
30.49	9
32.16	17
34.79	100
35.15	19
46.81	15
53.10	21
62.84	15
65.06	16
65.29	19
88.74	15

***

Entry 4:
Calculated XRD peak list of TmSc3Hg2C2 for λ = 1.5418 Å (Cu Kα), from a structure optimized by DFT (GGA-PBE).

```
data_TmSc3Hg2C2
_chemical_formula_sum 'Tm1 Sc3 Hg2 C2'
_space_group_name_H-M_alt 'P 3 m 1'
_space_group_IT_number 156
_space_group_name_Hall 'P 3 -2"'
_cell_length_a 3.3974
_cell_length_b 3.3974
_cell_length_c 15.1959
_cell_angle_alpha 90.00
_cell_angle_beta 90.00
_cell_angle_gamma 120.00
loop_
_atom_site_label
_atom_site_fract_x
_atom_site_fract_y
_atom_site_fract_z
Tm1 0.0000 0.0000 0.0000
Sc1 0.0000 0.0000 0.3361
Sc2 0.3333 0.6667 0.4955
Sc3 0.3333 0.6667 0.8310
Hg1 0.0000 0.0000 0.6634
Hg2 0.3333 0.6667 0.1735
C1 0.6667 0.3333 0.4174
C2 0.6667 0.3333 0.9090
```

Peak list (12 most intense, 2θ = 10–90°, by angle)
2theta	I/Imax
11.65	30
23.42	11
30.38	24
30.96	22
32.64	13
35.28	100
35.44	20
47.36	17
53.98	20
63.53	20
66.14	16
66.25	20

***

Entry 5:
Calculated XRD peak list of Tm3ScHg2C2 for λ = 1.5418 Å (Cu Kα), from a structure optimized by DFT (GGA-PBE).

```
data_Tm3ScHg2C2
_chemical_formula_sum 'Tm3 Sc1 Hg2 C2'
_space_group_name_H-M_alt 'P 3 m 1'
_space_group_IT_number 156
_space_group_name_Hall 'P 3 -2"'
_cell_length_a 3.5019
_cell_length_b 3.5019
_cell_length_c 15.3932
_cell_angle_alpha 90.00
_cell_angle_beta 90.00
_cell_angle_gamma 120.00
loop_
_atom_site_label
_atom_site_fract_x
_atom_site_fract_y
_atom_site_fract_z
Tm1 0.0000 0.0000 0.0000
Tm2 0.0000 0.0000 0.3317
Tm3 0.3333 0.6667 0.5057
Sc1 0.3333 0.6667 0.8357
Hg1 0.0000 0.0000 0.6757
Hg2 0.3333 0.6667 0.1653
C1 0.6667 0.3333 0.4203
C2 0.6667 0.3333 0.9113
```

Peak list (12 most intense, 2θ = 10–90°, by angle)
2theta	I/Imax
11.50	6
29.45	24
31.71	5
34.35	100
34.97	20
46.36	16
52.25	21
62.33	18
64.03	17
64.42	21
85.61	8
87.12	15

***

Entry 6:
Calculated XRD peak list of ZrScHgC for λ = 1.5418 Å (Cu Kα), from a structure optimized by DFT (GGA-PBE).

```
data_ZrScHgC
_chemical_formula_sum 'Zr2 Sc2 Hg2 C2'
_space_group_name_H-M_alt 'P -6 m 2'
_space_group_IT_number 187
_space_group_name_Hall 'P -6 2'
_cell_length_a 3.3526
_cell_length_b 3.3526
_cell_length_c 14.9873
_cell_angle_alpha 90.00
_cell_angle_beta 90.00
_cell_angle_gamma 120.00
loop_
_atom_site_label
_atom_site_fract_x
_atom_site_fract_y
_atom_site_fract_z
Zr1 0.0000 0.0000 0.1676
Sc1 0.3333 0.6667 0.3340
Hg1 0.0000 0.0000 0.5000
Hg2 0.3333 0.6667 0.0000
C1 0.6667 0.3333 0.2484
```

Peak list (12 most intense, 2θ = 10–90°, by angle)
2theta	I/Imax
11.81	31
23.75	11
30.80	23
31.38	21
35.77	100
35.95	20
48.05	17
54.76	20
64.51	21
67.15	16
67.26	20
89.57	10

***

Entry 7:
Calculated XRD peak list of ZrScHgC for λ = 1.5418 Å (Cu Kα), from a structure optimized by DFT (GGA-PBE).

```
data_ZrScHgC
_chemical_formula_sum 'Zr2 Sc2 Hg2 C2'
_space_group_name_H-M_alt 'P 63 m c'
_space_group_IT_number 186
_space_group_name_Hall 'P 6c -2c'
_cell_length_a 3.3519
_cell_length_b 3.3519
_cell_length_c 14.9870
_cell_angle_alpha 90.00
_cell_angle_beta 90.00
_cell_angle_gamma 120.00
loop_
_atom_site_label
_atom_site_fract_x
_atom_site_fract_y
_atom_site_fract_z
Zr1 0.3333 0.6667 0.0000
Sc1 0.3333 0.6667 0.3335
Hg1 0.3333 0.6667 0.6674
C1 0.0000 0.0000 0.4196
```

Peak list (12 most intense, 2θ = 10–90°, by angle)
2theta	I/Imax
11.81	36
23.75	12
30.80	22
31.39	23
35.78	100
35.95	21
48.05	16
54.77	20
64.51	21
67.16	16
67.28	20
89.59	11

***

Entry 8:
Calculated XRD peak list of Tm4SnHgC2 for λ = 1.5418 Å (Cu Kα), from a structure optimized by DFT (GGA-PBE).

```
data_Tm4SnHgC2
_chemical_formula_sum 'Tm4 Sn1 Hg1 C2'
_space_group_name_H-M_alt 'P -6 m 2'
_space_group_IT_number 187
_space_group_name_Hall 'P -6 2'
_cell_length_a 3.5606
_cell_length_b 3.5606
_cell_length_c 15.5445
_cell_angle_alpha 90.00
_cell_angle_beta 90.00
_cell_angle_gamma 120.00
loop_
_atom_site_label
_atom_site_fract_x
_atom_site_fract_y
_atom_site_fract_z
Tm1 0.0000 0.0000 0.1653
Tm2 0.3333 0.6667 0.3346
Sn1 0.3333 0.6667 0.0000
Hg1 0.0000 0.0000 0.5000
C1 0.6667 0.3333 0.2499
```

Peak list (12 most intense, 2θ = 10–90°, by angle)
2theta	I/Imax
28.96	23
33.83	100
34.62	20
45.74	16
51.32	21
60.00	3
61.54	18
62.89	17
63.39	21
71.16	4
84.17	8
85.37	15

***

Entry 9:
Calculated XRD peak list of TcHgC for λ = 1.5418 Å (Cu Kα), from a structure optimized by DFT (GGA-PBE).

```
data_TcHgC
_chemical_formula_sum 'Tc2 Hg2 C2'
_space_group_name_H-M_alt 'I m m 2'
_space_group_IT_number 44
_space_group_name_Hall 'I 2 -2'
_cell_length_a 2.845
_cell_length_b 4.927
_cell_length_c 9.065
_cell_angle_alpha 90.00
_cell_angle_beta 90.00
_cell_angle_gamma 90.00
loop_
_atom_site_label
_atom_site_fract_x
_atom_site_fract_y
_atom_site_fract_z
Tc1 0.000 0.000 0.000
Hg1 0.000 0.000 0.454
C1 0.000 0.000 0.186
```

Peak list (12 most intense, 2θ = 10–90°, by angle)
2theta	I/Imax
19.59	100
20.52	26
34.83	15
36.47	80
39.77	15
41.73	89
55.06	35
65.64	14
69.23	20
73.54	9
79.57	12
80.87	13

***

Entry 10:
Calculated XRD peak list of Nd2Ho2CI5 for λ = 1.5418 Å (Cu Kα), from a structure optimized by DFT (GGA-PBE).

```
data_Nd2Ho2CI5
_chemical_formula_sum 'Nd4 Ho4 C2 I10'
_space_group_name_H-M_alt 'C 1 2/m 1'
_space_group_IT_number 12
_space_group_name_Hall '-C 2y'
_cell_length_a 19.000
_cell_length_b 3.992
_cell_length_c 8.728
_cell_angle_alpha 90.00
_cell_angle_beta 103.07
_cell_angle_gamma 90.00
loop_
_atom_site_label
_atom_site_fract_x
_atom_site_fract_y
_atom_site_fract_z
Nd1 0.136 0.000 0.068
Ho1 0.000 0.500 0.186
C1 0.000 0.000 0.000
I1 0.000 0.000 0.500
I2 0.161 0.500 0.352
I3 0.166 0.500 0.808
```

Peak list (12 most intense, 2θ = 10–90°, by angle)
2theta	I/Imax
10.40	22
27.38	23
28.95	51
29.83	27
30.34	100
32.97	30
33.12	20
35.15	20
42.38	29
42.49	28
45.44	20
54.78	17

***

Entry 11:
Calculated XRD peak list of Nd2Ho2CI5 for λ = 1.5418 Å (Cu Kα), from a structure optimized by DFT (GGA-PBE).

```
data_Nd2Ho2CI5
_chemical_formula_sum 'Nd4 Ho4 C2 I10'
_space_group_name_H-M_alt 'C 1 2/m 1'
_space_group_IT_number 12
_space_group_name_Hall '-C 2y'
_cell_length_a 19.347
_cell_length_b 4.038
_cell_length_c 8.840
_cell_angle_alpha 90.00
_cell_angle_beta 102.49
_cell_angle_gamma 90.00
loop_
_atom_site_label
_atom_site_fract_x
_atom_site_fract_y
_atom_site_fract_z
Nd1 0.001 0.000 0.305
Ho1 0.127 0.500 0.563
C1 0.000 0.500 0.500
I1 0.000 0.500 0.000
I2 0.166 0.000 0.827
I3 0.171 0.000 0.338
```

Peak list (12 most intense, 2θ = 10–90°, by angle)
2theta	I/Imax
10.25	38
27.05	11
28.35	37
29.34	18
29.98	100
31.34	12
32.46	38
40.83	16
41.55	23
41.91	22
44.90	18
53.95	12